1.
Structure and computed powder X-ray diffraction pattern of Rb3Pd (a GGA-PBE-relaxed structure; Cu Kα, 1.54184 Å).
Kinematic intensities with the Lorentz-polarization factor, no thermal factor.

Main lines, in order of falling intensity (2θ = 5–70°):
two_theta	I/Imax	(hkl)
25.76	100.0	2 2 2
23.48	71.4	3 0 1
27.86	59.4	3 1 2
44.07	44.6	5 3 0
36.75	38.3	4 2 2
29.83	37.3	4 0 0

Crystal structure
a b c (Å): 11.981 11.981 11.981
angles (deg): 90.00 90.00 90.00
Space group Im-3 (No. 204)
One atom of each set of equivalent atoms:
1 Rb 0.000 0.301 0.185 x24
2 Pd 0.000 0.000 0.000 x2
3 Pd 0.000 0.000 0.500 x6



2.
Structure and computed powder X-ray diffraction pattern of CeGe2Rh2 (a GGA-PBE-relaxed structure; Cu Kα, 1.54184 Å).
Kinematic intensities with the Lorentz-polarization factor, no thermal factor.

Main lines, in order of falling intensity (2θ = 5–70°):
two_theta	I/Imax	(hkl)
34.86	100.0	1 1 2
43.33	53.9	2 0 0
33.40	51.4	1 0 3
55.79	23.4	2 1 3
48.52	19.9	1 0 5
62.94	17.4	2 2 0

Crystal structure
a b c (Å): 4.177 4.177 10.500
angles (deg): 90.00 90.00 90.00
Space group I4/mmm (No. 139)
One atom of each set of equivalent atoms:
1 Ce 0.000 0.000 0.000 x2
2 Ge 0.000 0.000 0.378 x4
3 Rh 0.000 0.500 0.250 x4



3.
Structure and computed powder X-ray diffraction pattern of ErCuO3 (a GGA-PBE-relaxed structure; Cu Kα, 1.54184 Å).
Kinematic intensities with the Lorentz-polarization factor, no thermal factor.

Main lines, in order of falling intensity (2θ = 5–70°):
two_theta	I/Imax	(hkl)
33.66	100.0	1 1 0
60.19	37.9	2 1 1
48.34	29.5	2 0 0
41.54	16.3	1 1 1
23.63	15.3	1 0 0
54.49	7.7	2 1 0

Crystal structure
a b c (Å): 3.766 3.766 3.766
angles (deg): 90.00 90.00 90.00
Space group Pm-3m (No. 221)
One atom of each set of equivalent atoms:
1 Er 0.000 0.000 0.000 x1
2 Cu 0.500 0.500 0.500 x1
3 O 0.000 0.500 0.500 x3



4.
Structure and computed powder X-ray diffraction pattern of Sm2Ga9NiGe2 (a GGA-PBE-relaxed structure; Cu Kα, 1.54184 Å).
Kinematic intensities with the Lorentz-polarization factor, no thermal factor.

Main lines, in order of falling intensity (2θ = 5–70°):
two_theta	I/Imax	(hkl)
32.20	100.0	2 0 2
42.82	66.4	2 2 0
38.32	60.6	2 0 4
31.66	34.1	1 1 4
35.41	23.8	0 0 6
56.73	20.9	2 2 6

Crystal structure
a b c (Å): 5.974 5.974 15.208
angles (deg): 90.00 90.00 90.00
Space group P4/nmm (No. 129, origin choice 2)
One atom of each set of equivalent atoms:
1 Sm 0.250 0.750 0.249 x4
2 Ga 0.018 0.018 0.414 x8
3 Ga 0.029 0.029 0.083 x8
4 Ga 0.250 0.250 0.843 x2
5 Ni 0.250 0.750 0.500 x2
6 Ge 0.250 0.250 0.276 x2
7 Ge 0.250 0.250 0.680 x2



5.
Structure and computed powder X-ray diffraction pattern of MgTe4Mo4S4 (a GGA-PBE-relaxed structure; Cu Kα, 1.54184 Å).
Kinematic intensities with the Lorentz-polarization factor, no thermal factor.

Main lines, in order of falling intensity (2θ = 5–70°):
two_theta	I/Imax	(hkl)
35.86	100.0	1 0 8
6.93	85.4	0 0 3
11.56	75.5	0 0 5
43.50	48.2	1 0 13
30.41	35.7	1 0 0
38.62	32.5	0 1 10

Crystal structure
a b c (Å): 3.3938 3.3938 38.2853
angles (deg): 90.00 90.00 120.00
Space group P3m1 (No. 156)
One atom of each set of equivalent atoms:
1 Mg 0.0000 0.0000 0.0000 x1
2 Te 0.3333 0.6667 0.2334 x1
3 Te 0.3333 0.6667 0.3314 x1
4 Te 0.6667 0.3333 0.6698 x1
5 Te 0.6667 0.3333 0.7677 x1
6 Mo 0.3333 0.6667 0.0955 x1
7 Mo 0.3333 0.6667 0.7187 x1
8 Mo 0.6667 0.3333 0.2824 x1
9 Mo 0.6667 0.3333 0.9055 x1
10 S 0.3333 0.6667 0.8670 x1
11 S 0.3333 0.6667 0.9472 x1
12 S 0.6667 0.3333 0.0541 x1
13 S 0.6667 0.3333 0.1340 x1



6.
Structure and computed powder X-ray diffraction pattern of UTe (a GGA-PBE-relaxed structure; Cu Kα, 1.54184 Å).
Kinematic intensities with the Lorentz-polarization factor, no thermal factor.

Main lines, in order of falling intensity (2θ = 5–70°):
two_theta	I/Imax	(hkl)
33.78	100.0	1 1 0
60.42	38.5	2 1 1
48.52	18.3	2 0 0
23.71	9.9	1 0 0
54.69	4.8	2 1 0
41.69	3.4	1 1 1

Crystal structure
a b c (Å): 3.753 3.753 3.753
angles (deg): 90.00 90.00 90.00
Space group Pm-3m (No. 221)
One atom of each set of equivalent atoms:
1 U 0.000 0.000 0.000 x1
2 Te 0.500 0.500 0.500 x1



Copy entry 4 word for word.
Structure and computed powder X-ray diffraction pattern of Sm2Ga9NiGe2 (a GGA-PBE-relaxed structure; Cu Kα, 1.54184 Å).
Kinematic intensities with the Lorentz-polarization factor, no thermal factor.

Main lines, in order of falling intensity (2θ = 5–70°):
two_theta	I/Imax	(hkl)
32.20	100.0	2 0 2
42.82	66.4	2 2 0
38.32	60.6	2 0 4
31.66	34.1	1 1 4
35.41	23.8	0 0 6
56.73	20.9	2 2 6

Crystal structure
a b c (Å): 5.974 5.974 15.208
angles (deg): 90.00 90.00 90.00
Space group P4/nmm (No. 129, origin choice 2)
One atom of each set of equivalent atoms:
1 Sm 0.250 0.750 0.249 x4
2 Ga 0.018 0.018 0.414 x8
3 Ga 0.029 0.029 0.083 x8
4 Ga 0.250 0.250 0.843 x2
5 Ni 0.250 0.750 0.500 x2
6 Ge 0.250 0.250 0.276 x2
7 Ge 0.250 0.250 0.680 x2